# 1
The following is a theoretical powder XRD pattern of Al2W2O7. It was derived from DFT lattice parameters and positions (PBE+U), using a wavelength of 1.5418 Å.
Kinematic intensities with the Lorentz-polarization factor, no thermal factor.

Most intense lines, 2θ from 10° to 90°, most intense first:
2theta, I_rel
15.1, 100
30.4, 76
30.6, 73
31.1, 71
36.4, 57
33.6, 55
15.4, 48
16.6, 38
29.7, 36
36.5, 29

Structural model:
```
data_Al2W2O7
_space_group_name_H-M_alt 'P -1'
_space_group_IT_number 2
_space_group_name_Hall '-P 1'
_cell_length_a 6.7009
_cell_length_b 6.7998
_cell_length_c 6.8214
_cell_angle_alpha 64.78
_cell_angle_beta 64.46
_cell_angle_gamma 64.15
loop_
_atom_site_label
_atom_site_type_symbol
_atom_site_fract_x
_atom_site_fract_y
_atom_site_fract_z
Al1 Al 0.0000 0.0000 0.0000
Al2 Al 0.0000 0.0000 0.5000
Al3 Al 0.0000 0.5000 0.0000
Al4 Al 0.5000 0.0000 0.0000
W1 W 0.0000 0.5000 0.5000
W2 W 0.5000 0.0000 0.5000
W3 W 0.5000 0.5000 0.0000
W4 W 0.5000 0.5000 0.5000
O1 O 0.1252 0.1638 0.5735
O2 O 0.1314 0.1200 0.1394
O3 O 0.1492 0.6220 0.1149
O4 O 0.1640 0.5078 0.6835
O5 O 0.3259 0.8247 0.4979
O6 O 0.3998 0.8892 0.8422
O7 O 0.4814 0.3292 0.8353
```

---

# 2
The following is a theoretical powder XRD pattern of LiVPO5. It was derived from DFT lattice parameters and positions (PBE+U), using a wavelength of 1.5418 Å.
Kinematic intensities with the Lorentz-polarization factor, no thermal factor.

Most intense lines, 2θ from 10° to 90°, most intense first:
2theta, I_rel
26.6, 100
28.0, 65
27.2, 31
18.5, 28
58.0, 28
39.4, 22
24.4, 20
16.9, 17
72.8, 15
44.5, 15

Structural model:
```
data_LiVPO5
_space_group_name_H-M_alt 'P n m a'
_space_group_IT_number 62
_space_group_name_Hall '-P 2ac 2n'
_cell_length_a 7.5540
_cell_length_b 6.3679
_cell_length_c 7.2944
_cell_angle_alpha 90.00
_cell_angle_beta 90.00
_cell_angle_gamma 90.00
loop_
_atom_site_label
_atom_site_type_symbol
_atom_site_fract_x
_atom_site_fract_y
_atom_site_fract_z
Li1 Li 0.0000 0.0000 0.0000
V1 V 0.1710 0.2500 0.2806
P1 P 0.1255 0.7500 0.3763
O1 O 0.0442 0.2500 0.5098
O2 O 0.1133 0.7500 0.8461
O3 O 0.1288 0.5564 0.2469
O4 O 0.2071 0.2500 0.0009
```

---

# 3
The following is a theoretical powder XRD pattern of La2MgCoO6. It was derived from DFT lattice parameters and positions (PBE+U), using a wavelength of 1.5418 Å.
Kinematic intensities with the Lorentz-polarization factor, no thermal factor.

Most intense lines, 2θ from 10° to 90°, most intense first:
2theta, I_rel
32.4, 100
31.9, 96
46.1, 60
22.6, 54
57.2, 42
39.4, 34
56.8, 25
58.2, 19
67.9, 18
77.0, 17

Structural model:
```
data_La2MgCoO6
_space_group_name_H-M_alt 'R -3'
_space_group_IT_number 148
_space_group_name_Hall '-R 3'
_cell_length_a 5.6125
_cell_length_b 5.6125
_cell_length_c 13.4183
_cell_angle_alpha 90.00
_cell_angle_beta 90.00
_cell_angle_gamma 120.00
loop_
_atom_site_label
_atom_site_type_symbol
_atom_site_fract_x
_atom_site_fract_y
_atom_site_fract_z
La1 La 0.0000 0.0000 0.2493
Mg1 Mg 0.0000 0.0000 0.5000
Co1 Co 0.0000 0.0000 0.0000
O1 O 0.0104 0.5794 0.7489
```

---

# 4
The following is a theoretical powder XRD pattern of Ba2NiWO6. It was derived from DFT lattice parameters and positions (PBE+U), using a wavelength of 1.5418 Å.
Kinematic intensities with the Lorentz-polarization factor, no thermal factor.

Most intense lines, 2θ from 10° to 90°, most intense first:
2theta, I_rel
30.8, 100
54.8, 40
44.1, 30
89.3, 22
64.2, 18
72.9, 18
18.7, 15
36.3, 7
81.2, 6
58.4, 3

Structural model:
```
data_Ba2NiWO6
_space_group_name_H-M_alt 'F m -3 m'
_space_group_IT_number 225
_space_group_name_Hall '-F 4 2 3'
_cell_length_a 8.2066
_cell_length_b 8.2066
_cell_length_c 8.2066
_cell_angle_alpha 90.00
_cell_angle_beta 90.00
_cell_angle_gamma 90.00
loop_
_atom_site_label
_atom_site_type_symbol
_atom_site_fract_x
_atom_site_fract_y
_atom_site_fract_z
Ba1 Ba 0.2500 0.2500 0.2500
Ni1 Ni 0.0000 0.0000 0.0000
W1 W 0.0000 0.0000 0.5000
O1 O 0.0000 0.0000 0.2607
```

---

# 5
The following is a theoretical powder XRD pattern of MgMn3Cu2O8. It was derived from DFT lattice parameters and positions (PBE+U), using a wavelength of 1.5418 Å.
Kinematic intensities with the Lorentz-polarization factor, no thermal factor.

Most intense lines, 2θ from 10° to 90°, most intense first:
2theta, I_rel
33.7, 100
22.8, 100
36.0, 77
25.9, 76
53.2, 68
35.4, 65
49.2, 58
30.8, 50
50.5, 40
52.9, 38

Structural model:
```
data_MgMn3Cu2O8
_space_group_name_H-M_alt 'P -1'
_space_group_IT_number 2
_space_group_name_Hall '-P 1'
_cell_length_a 5.3559
_cell_length_b 5.7154
_cell_length_c 5.7586
_cell_angle_alpha 118.65
_cell_angle_beta 95.58
_cell_angle_gamma 91.27
loop_
_atom_site_label
_atom_site_type_symbol
_atom_site_fract_x
_atom_site_fract_y
_atom_site_fract_z
Mg1 Mg 0.0000 0.0000 0.0000
Mn1 Mn 0.0113 0.2628 0.5396
Mn2 Mn 0.5000 0.5000 0.5000
Cu1 Cu 0.4735 0.7716 0.0526
O1 O 0.1278 0.9167 0.2939
O2 O 0.1540 0.3945 0.3110
O3 O 0.3307 0.8834 0.7988
O4 O 0.3714 0.4070 0.7654
```

---

# 6
The following is a theoretical powder XRD pattern of Na3CoO3. It was derived from DFT lattice parameters and positions (PBE+U), using a wavelength of 1.5418 Å.
Kinematic intensities with the Lorentz-polarization factor, no thermal factor.

Most intense lines, 2θ from 10° to 90°, most intense first:
2theta, I_rel
24.1, 100
39.8, 43
46.2, 32
27.2, 32
30.7, 27
33.8, 26
17.8, 25
18.4, 22
32.9, 22
28.0, 20

Structural model:
```
data_Na3CoO3
_space_group_name_H-M_alt 'P 1 21/c 1'
_space_group_IT_number 14
_space_group_name_Hall '-P 2ybc'
_cell_length_a 3.9937
_cell_length_b 10.9946
_cell_length_c 10.1603
_cell_angle_alpha 90.00
_cell_angle_beta 101.72
_cell_angle_gamma 90.00
loop_
_atom_site_label
_atom_site_type_symbol
_atom_site_fract_x
_atom_site_fract_y
_atom_site_fract_z
Na1 Na 0.0004 0.2302 0.0201
Na2 Na 0.2220 0.5150 0.8838
Na3 Na 0.4031 0.0704 0.8635
Co1 Co 0.3104 0.6897 0.2455
O1 O 0.1367 0.6613 0.7156
O2 O 0.2710 0.5914 0.1040
O3 O 0.4718 0.6377 0.4110
```

---

# 7
The following is a theoretical powder XRD pattern of V3NiO8. It was derived from DFT lattice parameters and positions (PBE+U), using a wavelength of 1.5418 Å.
Kinematic intensities with the Lorentz-polarization factor, no thermal factor.

Most intense lines, 2θ from 10° to 90°, most intense first:
2theta, I_rel
20.8, 100
20.6, 97
20.3, 82
19.9, 80
33.2, 44
31.7, 30
30.0, 24
26.1, 21
29.5, 20
33.7, 17

Structural model:
```
data_V3NiO8
_space_group_name_H-M_alt 'P 1'
_space_group_IT_number 1
_space_group_name_Hall 'P 1'
_cell_length_a 5.3924
_cell_length_b 5.6517
_cell_length_c 7.0985
_cell_angle_alpha 88.90
_cell_angle_beta 89.26
_cell_angle_gamma 89.86
loop_
_atom_site_label
_atom_site_type_symbol
_atom_site_fract_x
_atom_site_fract_y
_atom_site_fract_z
V1 V 0.0000 0.0000 0.0000
V2 V 0.0110 0.4963 0.2493
V3 V 0.5026 0.1490 0.7431
Ni1 Ni 0.5001 0.6580 0.4957
O1 O 0.3184 0.5193 0.2905
O2 O 0.3261 0.0354 0.9424
O3 O 0.4381 0.4388 0.7050
O4 O 0.4403 0.9909 0.5487
O5 O 0.8252 0.1071 0.8004
O6 O 0.8480 0.5887 0.4390
O7 O 0.9271 0.1954 0.1906
O8 O 0.9422 0.6904 0.0512
```

---

# 8
The following is a theoretical powder XRD pattern of Sr2MgCoWO6. It was derived from DFT lattice parameters and positions (PBE+U), using a wavelength of 1.5418 Å.
Kinematic intensities with the Lorentz-polarization factor, no thermal factor.

Most intense lines, 2θ from 10° to 90°, most intense first:
2theta, I_rel
30.5, 100
29.7, 76
32.2, 67
27.6, 65
27.4, 61
33.6, 46
17.0, 40
17.7, 40
34.5, 31
46.6, 31

Structural model:
```
data_Sr2MgCoWO6
_space_group_name_H-M_alt 'P -1'
_space_group_IT_number 2
_space_group_name_Hall '-P 1'
_cell_length_a 5.3841
_cell_length_b 5.5571
_cell_length_c 6.1762
_cell_angle_alpha 115.39
_cell_angle_beta 108.43
_cell_angle_gamma 91.42
loop_
_atom_site_label
_atom_site_type_symbol
_atom_site_fract_x
_atom_site_fract_y
_atom_site_fract_z
Sr1 Sr 0.1920 0.2128 0.4140
Mg1 Mg 0.5000 0.5000 0.0000
Co1 Co 0.5000 0.0000 0.0000
W1 W 0.0000 0.5000 0.0000
O1 O 0.2048 0.6559 0.8350
O2 O 0.2133 0.1711 0.8617
O3 O 0.3364 0.6565 0.3159
```

---

# 9
The following is a theoretical powder XRD pattern of NiH2O2. It was derived from DFT lattice parameters and positions (PBE+U), using a wavelength of 1.5418 Å.
Kinematic intensities with the Lorentz-polarization factor, no thermal factor.

Most intense lines, 2θ from 10° to 90°, most intense first:
2theta, I_rel
19.3, 100
38.8, 61
37.3, 31
32.7, 28
52.7, 19
58.6, 17
50.9, 14
50.2, 13
69.1, 11
61.1, 10

Structural model:
```
data_NiH2O2
_space_group_name_H-M_alt 'C 1 2/m 1'
_space_group_IT_number 12
_space_group_name_Hall '-C 2y'
_cell_length_a 5.4530
_cell_length_b 3.1734
_cell_length_c 4.6188
_cell_angle_alpha 90.00
_cell_angle_beta 93.79
_cell_angle_gamma 90.00
loop_
_atom_site_label
_atom_site_type_symbol
_atom_site_fract_x
_atom_site_fract_y
_atom_site_fract_z
Ni1 Ni 0.0000 0.0000 0.0000
H1 H 0.1925 0.5000 0.4320
O1 O 0.1807 0.5000 0.2212
```